Ba2MnTeSe2: calculated XRD peak list (Cu Kα (weighted mean of Kα1 and Kα2)), based on a DFT-relaxed cell (GGA-PBE, Alexandria).
Neutral-atom scattering factors, no anomalous dispersion.

Cell and atoms:
a = 9.3599 Å, b = 4.6550 Å, c = 18.2730 Å
α = 90.00°, β = 90.00°, γ = 90.00°
Fractional coordinates of all 24 atoms:
Ba 0.0854 0.2500 0.2136
Ba 0.2287 0.2500 0.9579
Ba 0.2713 0.7500 0.4579
Ba 0.4146 0.7500 0.7136
Ba 0.5854 0.2500 0.2864
Ba 0.7287 0.2500 0.5421
Ba 0.7713 0.7500 0.0421
Ba 0.9146 0.7500 0.7864
Mn 0.1363 0.2500 0.6374
Mn 0.3637 0.7500 0.1374
Mn 0.6363 0.2500 0.8626
Mn 0.8637 0.7500 0.3626
Te 0.0024 0.2500 0.4016
Te 0.4976 0.7500 0.9016
Te 0.5024 0.2500 0.0984
Te 0.9976 0.7500 0.5984
Se 0.1248 0.7500 0.0740
Se 0.1786 0.2500 0.7728
Se 0.3214 0.7500 0.2728
Se 0.3752 0.2500 0.5740
Se 0.6248 0.7500 0.4260
Se 0.6786 0.2500 0.7272
Se 0.8214 0.7500 0.2272
Se 0.8752 0.2500 0.9260

The 6 most intense peaks (2θ = 10–80°), sorted by position:
2θ (°)	I_rel	(hkl)
26.18	49.6	1 0 5
27.46	82.0	2 1 1
28.76	53.0	2 1 2
29.01	100.0	1 1 4
32.59	41.7	1 1 5
38.69	60.3	0 2 0